(1)
Starting from a cell relaxed with GGA-PBE, the powder X-ray diffraction pattern of Ac3Tl was simulated for copper Kα.
Kinematic intensities with the Lorentz-polarization factor, no thermal factor.

Structural model:
abc: 7.7426 7.7426 6.0393
angles: 90.00 90.00 120.00
Space group P6_3/mmc (No. 194)
Asymmetric unit:
Ac  0.1745  0.3490  0.2500
Tl  0.3333  0.6667  0.7500

Peak list (6 most intense, 2θ = 10–90°, by angle)
hkl 2 0 0, 2θ 26.59, intensity 23.5
hkl 0 0 2, 2θ 29.58, intensity 24.4
hkl 2 0 1, 2θ 30.50, intensity 100.0
hkl 2 2 0, 2θ 46.94, intensity 20.2
hkl 2 0 3, 2θ 53.06, intensity 21.9
hkl 2 2 2, 2θ 56.47, intensity 23.6


(2)
Starting from a cell relaxed with GGA-PBE, the powder X-ray diffraction pattern of Ac3V was simulated for copper Kα.
Kinematic intensities with the Lorentz-polarization factor, no thermal factor.

Structural model:
abc: 5.1853 5.1853 10.8809
angles: 90.00 90.00 90.00
Space group I4/mmm (No. 139)
Asymmetric unit:
Ac  0.0000  0.0000  0.0000
Ac  0.0000  0.5000  0.2500
V  0.0000  0.0000  0.5000

Peak list (6 most intense, 2θ = 10–90°, by angle)
hkl 1 1 2, 2θ 29.38, intensity 100.0
hkl 0 0 4, 2θ 32.93, intensity 18.6
hkl 2 0 0, 2θ 34.60, intensity 32.7
hkl 2 0 4, 2θ 48.51, intensity 25.6
hkl 1 1 6, 2θ 56.62, intensity 16.3
hkl 3 1 2, 2θ 58.82, intensity 29.1


(3)
Starting from a cell relaxed with GGA-PBE, the powder X-ray diffraction pattern of AcY3 was simulated for copper Kα.
Kinematic intensities with the Lorentz-polarization factor, no thermal factor.

Structural model:
abc: 5.2130 5.2130 5.2130
angles: 90.00 90.00 90.00
Space group Pm-3m (No. 221)
Asymmetric unit:
Ac  0.0000  0.0000  0.0000
Y  0.0000  0.5000  0.5000

Peak list (6 most intense, 2θ = 10–90°, by angle)
hkl 1 0 0, 2θ 17.01, intensity 18.1
hkl 1 1 1, 2θ 29.68, intensity 100.0
hkl 2 0 0, 2θ 34.41, intensity 50.6
hkl 2 2 0, 2θ 49.45, intensity 36.2
hkl 3 1 1, 2θ 58.74, intensity 43.0
hkl 3 3 1, 2θ 80.27, intensity 17.4


(4)
Starting from a cell relaxed with GGA-PBE, the powder X-ray diffraction pattern of AcY3 was simulated for copper Kα.
Kinematic intensities with the Lorentz-polarization factor, no thermal factor.

Structural model:
abc: 5.2262 5.2262 10.4163
angles: 90.00 90.00 90.00
Space group I4/mmm (No. 139)
Asymmetric unit:
Ac  0.0000  0.0000  0.0000
Y  0.0000  0.0000  0.5000
Y  0.0000  0.5000  0.2500

Peak list (6 most intense, 2θ = 10–90°, by angle)
hkl 1 0 1, 2θ 19.00, intensity 18.9
hkl 1 1 2, 2θ 29.64, intensity 100.0
hkl 2 0 0, 2θ 34.32, intensity 33.9
hkl 0 0 4, 2θ 34.44, intensity 16.8
hkl 2 2 0, 2θ 49.38, intensity 36.2
hkl 3 1 2, 2θ 58.60, intensity 28.8


(5)
Starting from a cell relaxed with GGA-PBE, the powder X-ray diffraction pattern of Ac3Y was simulated for copper Kα.
Kinematic intensities with the Lorentz-polarization factor, no thermal factor.

Structural model:
abc: 5.5173 5.5173 11.0211
angles: 90.00 90.00 90.00
Space group I4/mmm (No. 139)
Asymmetric unit:
Ac  0.0000  0.0000  0.0000
Ac  0.0000  0.5000  0.2500
Y  0.0000  0.0000  0.5000

Peak list (6 most intense, 2θ = 10–90°, by angle)
hkl 1 1 2, 2θ 28.02, intensity 100.0
hkl 2 0 0, 2θ 32.47, intensity 51.4
hkl 2 2 0, 2θ 46.58, intensity 38.4
hkl 3 1 2, 2θ 55.24, intensity 46.8
hkl 3 3 2, 2θ 75.08, intensity 19.1
hkl 4 2 0, 2θ 77.38, intensity 17.7


(6)
Starting from a cell relaxed with GGA-PBE, the powder X-ray diffraction pattern of Ac3Y was simulated for copper Kα.
Kinematic intensities with the Lorentz-polarization factor, no thermal factor.

Structural model:
abc: 7.8461 7.8461 6.3556
angles: 90.00 90.00 120.00
Space group P6_3/mmc (No. 194)
Asymmetric unit:
Ac  0.1693  0.3386  0.2500
Y  0.3333  0.6667  0.7500

Peak list (6 most intense, 2θ = 10–90°, by angle)
hkl 2 0 0, 2θ 26.23, intensity 23.0
hkl 0 0 2, 2θ 28.08, intensity 25.9
hkl 2 0 1, 2θ 29.82, intensity 100.0
hkl 2 2 0, 2θ 46.29, intensity 20.3
hkl 2 0 3, 2θ 50.79, intensity 23.4
hkl 2 2 2, 2θ 55.02, intensity 24.5


(7)
Starting from a cell relaxed with GGA-PBE, the powder X-ray diffraction pattern of AlAg2 was simulated for copper Kα.
Kinematic intensities with the Lorentz-polarization factor, no thermal factor.

Structural model:
abc: 8.8576 5.0974 4.5691
angles: 90.00 90.00 90.00
Space group Cmcm (No. 63)
Asymmetric unit:
Al  0.0000  0.1733  0.2500
Ag  0.1605  0.3173  0.7500

Peak list (6 most intense, 2θ = 10–90°, by angle)
hkl 2 0 0, 2θ 20.07, intensity 16.3
hkl 1 1 1, 2θ 28.09, intensity 28.2
hkl 0 2 0, 2θ 35.17, intensity 26.1
hkl 0 0 2, 2θ 39.44, intensity 24.4
hkl 3 1 1, 2θ 40.47, intensity 100.0
hkl 3 1 3, 2θ 72.23, intensity 16.8


(8)
Starting from a cell relaxed with GGA-PBE, the powder X-ray diffraction pattern of AlAg3 was simulated for copper Kα.
Kinematic intensities with the Lorentz-polarization factor, no thermal factor.

Structural model:
abc: 9.9935 9.9935 12.1602
angles: 90.00 90.00 120.00
Space group R3 (No. 146, hexagonal axes)
Asymmetric unit:
Al  0.0000  0.0000  0.0000
Al  0.0000  0.0000  0.3700
Al  0.0347  0.4540  0.0830
Ag  0.0015  0.1700  0.1848
Ag  0.0512  0.8596  0.8029
Ag  0.0940  0.7484  0.0215
Ag  0.1250  0.3772  0.6242
Ag  0.1920  0.1296  0.5724

Peak list (6 most intense, 2θ = 10–90°, by angle)
hkl 2 -1 3, 2θ 28.35, intensity 16.9
hkl 4 -3 1, 2θ 38.24, intensity 100.0
hkl 0 1 5, 2θ 38.45, intensity 29.1
hkl 3 1 2, 2θ 40.40, intensity 36.2
hkl 3 -1 4, 2θ 40.51, intensity 40.8
hkl 4 0 1, 2θ 42.48, intensity 19.9


(9)
Starting from a cell relaxed with GGA-PBE, the powder X-ray diffraction pattern of AlAg3 was simulated for copper Kα.
Kinematic intensities with the Lorentz-polarization factor, no thermal factor.

Structural model:
abc: 3.3536 4.6454 8.9823
angles: 90.00 90.00 90.00
Space group Cmmm (No. 65)
Asymmetric unit:
Al  0.0000  0.0000  0.0000
Ag  0.0000  0.0000  0.5000
Ag  0.0000  0.5000  0.2363

Peak list (6 most intense, 2θ = 10–90°, by angle)
hkl 1 1 1, 2θ 34.46, intensity 9.3
hkl 0 2 0, 2θ 38.72, intensity 100.0
hkl 0 0 4, 2θ 40.15, intensity 18.2
hkl 0 2 4, 2θ 57.05, intensity 11.5
hkl 1 3 2, 2θ 70.14, intensity 12.8
hkl 1 1 6, 2θ 72.01, intensity 10.2


(10)
Starting from a cell relaxed with GGA-PBE, the powder X-ray diffraction pattern of Al3Ag was simulated for copper Kα.
Kinematic intensities with the Lorentz-polarization factor, no thermal factor.

Structural model:
abc: 4.0815 4.0815 4.0815
angles: 90.00 90.00 90.00
Space group Pm-3m (No. 221)
Asymmetric unit:
Al  0.0000  0.0000  0.5000
Ag  0.5000  0.5000  0.5000

Peak list (6 most intense, 2θ = 10–90°, by angle)
hkl 1 0 0, 2θ 21.77, intensity 61.9
hkl 1 1 0, 2θ 30.99, intensity 52.0
hkl 1 1 1, 2θ 38.19, intensity 100.0
hkl 2 0 0, 2θ 44.39, intensity 48.1
hkl 2 2 0, 2θ 64.58, intensity 30.3
hkl 3 1 1, 2θ 77.58, intensity 35.4


(11)
Starting from a cell relaxed with GGA-PBE, the powder X-ray diffraction pattern of Ba2Al5Ag5 was simulated for copper Kα.
Kinematic intensities with the Lorentz-polarization factor, no thermal factor.

Structural model:
abc: 5.5781 11.1330 8.8091
angles: 90.00 90.00 90.00
Space group Amm2 (No. 38)
Asymmetric unit:
Ba  0.0000  0.0000  0.0000
Ba  0.5000  0.0000  0.3431
Al  0.2501  0.2052  0.6632
Al  0.5000  0.0000  0.7446
Ag  0.0000  0.0000  0.6094
Ag  0.0000  0.1981  0.3896
Ag  0.5000  0.1907  0.9405

Peak list (6 most intense, 2θ = 10–90°, by angle)
hkl 1 2 2, 2θ 30.44, intensity 59.5
hkl 1 3 1, 2θ 30.66, intensity 100.0
hkl 2 0 0, 2θ 32.11, intensity 56.8
hkl 2 0 2, 2θ 38.19, intensity 29.3
hkl 2 2 2, 2θ 41.64, intensity 30.4
hkl 1 3 3, 2θ 42.47, intensity 30.8


(12)
Starting from a cell relaxed with GGA-PBE, the powder X-ray diffraction pattern of BaAlCuAgO5 was simulated for copper Kα.
Kinematic intensities with the Lorentz-polarization factor, no thermal factor.

Structural model:
abc: 3.7685 3.7685 8.3179
angles: 90.00 90.00 90.00
Space group P4mm (No. 99)
Asymmetric unit:
Ba  0.0000  0.0000  0.0000
Al  0.0000  0.0000  0.4515
Cu  0.5000  0.5000  0.2443
Ag  0.5000  0.5000  0.6871
O  0.0000  0.5000  0.3005
O  0.0000  0.5000  0.5838
O  0.5000  0.5000  0.9730

Peak list (6 most intense, 2θ = 10–90°, by angle)
hkl 1 0 1, 2θ 25.96, intensity 35.2
hkl 1 0 2, 2θ 32.05, intensity 100.0
hkl 1 1 0, 2θ 33.63, intensity 40.6
hkl 2 0 0, 2θ 48.30, intensity 29.2
hkl 1 1 4, 2θ 56.10, intensity 20.0
hkl 2 1 2, 2θ 59.15, intensity 33.5